# 1
Starting from the PBE geometry in Alexandria, the powder XRD pattern of AlInP was simulated for a wavelength of 1.5418 Å.
Kinematic intensities with the Lorentz-polarization factor, no thermal factor.

Principal peaks in the range 5° ≤ 2θ ≤ 70°, sorted by position:
2θ (°)  Rel. int.
15.66  28
27.25  40
27.99  21
28.22  16
31.59  100
32.23  46
34.68  15
42.22  29
51.83  22
58.74  15

Structural model:
```
data_AlInP
_chemical_formula_sum 'Al2 In2 P2'
_space_group_name_H-M_alt 'P m n 21'
_space_group_IT_number 31
_cell_length_a 3.8132
_cell_length_b 5.6591
_cell_length_c 6.3761
_cell_angle_alpha 90.00
_cell_angle_beta 90.00
_cell_angle_gamma 90.00
loop_
_space_group_symop_operation_xyz
'x,y,z'
'-x+1/2,-y,z+1/2'
'-x,y,z'
'x+1/2,-y,z+1/2'
loop_
_atom_site_label
_atom_site_type_symbol
_atom_site_fract_x
_atom_site_fract_y
_atom_site_fract_z
_atom_site_occupancy
Al1 Al 0.0000 0.1420 0.0000 1
In1 In 0.0000 0.4530 0.5867 1
P1 P 0.0000 0.0531 0.3641 1
```

=====

# 2
Starting from the PBE geometry in Alexandria, the powder XRD pattern of Al2InP3 was simulated for a wavelength of 1.5418 Å.
Kinematic intensities with the Lorentz-polarization factor, no thermal factor.

Principal peaks in the range 5° ≤ 2θ ≤ 70°, sorted by position:
2θ (°)  Rel. int.
15.47  28
17.39  8
20.14  17
27.36  100
27.39  30
30.22  10
31.71  10
45.46  76
53.85  34
53.95  17

Structural model:
```
data_Al2InP3
_chemical_formula_sum 'Al8 In4 P12'
_space_group_name_H-M_alt 'C 1 c 1'
_space_group_IT_number 9
_cell_length_a 6.9085
_cell_length_b 11.9846
_cell_length_c 6.9015
_cell_angle_alpha 90.00
_cell_angle_beta 109.35
_cell_angle_gamma 90.00
loop_
_space_group_symop_operation_xyz
'x,y,z'
'x,-y,z+1/2'
'x+1/2,y+1/2,z'
'x+1/2,-y+1/2,z+1/2'
loop_
_atom_site_label
_atom_site_type_symbol
_atom_site_fract_x
_atom_site_fract_y
_atom_site_fract_z
_atom_site_occupancy
Al1 Al 0.0000 0.0827 0.0000 1
Al2 Al 0.9996 0.2464 0.4995 1
In1 In 0.0002 0.4134 0.9998 1
P1 P 0.3629 0.0932 0.1086 1
P2 P 0.3669 0.2613 0.6312 1
P3 P 0.3941 0.4178 0.1330 1
```

=====

# 3
Starting from the PBE geometry in Alexandria, the powder XRD pattern of AlInP was simulated for a wavelength of 1.5418 Å.
Kinematic intensities with the Lorentz-polarization factor, no thermal factor.

Principal peaks in the range 5° ≤ 2θ ≤ 70°, sorted by position:
2θ (°)  Rel. int.
14.05  21
14.65  37
27.02  37
27.45  100
28.78  37
29.55  47
36.83  21
43.10  16
44.41  34
48.74  19

Structural model:
```
data_AlInP
_chemical_formula_sum 'Al2 In2 P2'
_space_group_name_H-M_alt 'P 1 m 1'
_space_group_IT_number 6
_cell_length_a 6.4426
_cell_length_b 3.7923
_cell_length_c 6.7139
_cell_angle_alpha 90.00
_cell_angle_beta 110.19
_cell_angle_gamma 90.00
loop_
_space_group_symop_operation_xyz
'x,y,z'
'x,-y,z'
loop_
_atom_site_label
_atom_site_type_symbol
_atom_site_fract_x
_atom_site_fract_y
_atom_site_fract_z
_atom_site_occupancy
Al1 Al 0.0000 0.0000 0.0000 1
Al2 Al 0.0006 0.5000 0.5060 1
In1 In 0.5525 0.5000 0.2956 1
In2 In 0.5544 0.0000 0.9151 1
P1 P 0.1299 0.5000 0.2162 1
P2 P 0.1340 0.0000 0.7151 1
```

=====

# 4
Starting from the PBE geometry in Alexandria, the powder XRD pattern of ZrAlIn2P was simulated for a wavelength of 1.5418 Å.
Kinematic intensities with the Lorentz-polarization factor, no thermal factor.

Principal peaks in the range 5° ≤ 2θ ≤ 70°, sorted by position:
2θ (°)  Rel. int.
16.93  17
17.72  14
30.48  100
34.25  25
35.87  43
50.44  32
51.64  15
59.00  14
61.15  26
63.43  16

Structural model:
```
data_ZrAlIn2P
_chemical_formula_sum 'Zr1 Al1 In2 P1'
_space_group_name_H-M_alt 'P 4/m m m'
_space_group_IT_number 123
_space_group_name_Hall '-P 4 2'
_cell_length_a 5.0066
_cell_length_b 5.0066
_cell_length_c 5.2368
_cell_angle_alpha 90.00
_cell_angle_beta 90.00
_cell_angle_gamma 90.00
loop_
_atom_site_label
_atom_site_type_symbol
_atom_site_fract_x
_atom_site_fract_y
_atom_site_fract_z
_atom_site_occupancy
Zr1 Zr 0.0000 0.0000 0.0000 1
Al1 Al 0.0000 0.0000 0.5000 1
In1 In 0.0000 0.5000 0.5000 1
P1 P 0.5000 0.5000 0.0000 1
```

=====

# 5
Starting from the PBE geometry in Alexandria, the powder XRD pattern of PaAlInSn was simulated for a wavelength of 1.5418 Å.
Kinematic intensities with the Lorentz-polarization factor, no thermal factor.

Principal peaks in the range 5° ≤ 2θ ≤ 70°, sorted by position:
2θ (°)  Rel. int.
19.32  17
20.04  14
27.48  14
28.00  14
34.25  100
39.26  35
40.74  16
57.86  22
67.96  28
70.00  13

Structural model:
```
data_PaAlInSn
_chemical_formula_sum 'Pa1 Al1 In1 Sn1'
_space_group_name_H-M_alt 'P m m m'
_space_group_IT_number 47
_cell_length_a 4.4299
_cell_length_b 4.5865
_cell_length_c 4.5933
_cell_angle_alpha 90.00
_cell_angle_beta 90.00
_cell_angle_gamma 90.00
loop_
_space_group_symop_operation_xyz
'x,y,z'
'-x,-y,-z'
'-x,-y,z'
'x,y,-z'
'x,-y,-z'
'-x,y,z'
'-x,y,-z'
'x,-y,z'
loop_
_atom_site_label
_atom_site_type_symbol
_atom_site_fract_x
_atom_site_fract_y
_atom_site_fract_z
_atom_site_occupancy
Pa1 Pa 0.0000 0.0000 0.0000 1
Al1 Al 0.5000 0.0000 0.5000 1
In1 In 0.0000 0.5000 0.5000 1
Sn1 Sn 0.5000 0.5000 0.0000 1
```

=====

# 6
Starting from the PBE geometry in Alexandria, the powder XRD pattern of AlIn2Pb was simulated for a wavelength of 1.5418 Å.
Kinematic intensities with the Lorentz-polarization factor, no thermal factor.

Principal peaks in the range 5° ≤ 2θ ≤ 70°, sorted by position:
2θ (°)  Rel. int.
17.64  34
23.10  34
29.85  20
31.77  49
32.32  73
33.28  35
34.88  100
35.71  43
49.61  23
64.97  23

Structural model:
```
data_AlIn2Pb
_chemical_formula_sum 'Al1 In2 Pb1'
_space_group_name_H-M_alt 'P 1 m 1'
_space_group_IT_number 6
_cell_length_a 3.5026
_cell_length_b 5.0292
_cell_length_c 6.1664
_cell_angle_alpha 90.00
_cell_angle_beta 103.88
_cell_angle_gamma 90.00
loop_
_space_group_symop_operation_xyz
'x,y,z'
'x,-y,z'
loop_
_atom_site_label
_atom_site_type_symbol
_atom_site_fract_x
_atom_site_fract_y
_atom_site_fract_z
_atom_site_occupancy
Al1 Al 0.0000 0.0000 0.0000 1
In1 In 0.1067 0.5000 0.2895 1
In2 In 0.7070 0.0000 0.4864 1
Pb1 Pb 0.4148 0.5000 0.8230 1
```

=====

# 7
Starting from the PBE geometry in Alexandria, the powder XRD pattern of Al4InPd5 was simulated for a wavelength of 1.5418 Å.
Kinematic intensities with the Lorentz-polarization factor, no thermal factor.

Principal peaks in the range 5° ≤ 2θ ≤ 70°, sorted by position:
2θ (°)  Rel. int.
5.63  12
28.43  9
28.65  26
33.47  8
36.83  11
40.80  100
40.96  58
50.61  8
58.79  8
59.32  19

Structural model:
```
data_Al4InPd5
_chemical_formula_sum 'Al4 In1 Pd5'
_space_group_name_H-M_alt 'P 4/m m m'
_space_group_IT_number 123
_space_group_name_Hall '-P 4 2'
_cell_length_a 3.1160
_cell_length_b 3.1160
_cell_length_c 15.6985
_cell_angle_alpha 90.00
_cell_angle_beta 90.00
_cell_angle_gamma 90.00
loop_
_atom_site_label
_atom_site_type_symbol
_atom_site_fract_x
_atom_site_fract_y
_atom_site_fract_z
_atom_site_occupancy
Al1 Al 0.0000 0.0000 0.0959 1
Al2 Al 0.0000 0.0000 0.2881 1
In1 In 0.0000 0.0000 0.5000 1
Pd1 Pd 0.5000 0.5000 0.0000 1
Pd2 Pd 0.5000 0.5000 0.1906 1
Pd3 Pd 0.5000 0.5000 0.3789 1
```

=====

# 8
Starting from the PBE geometry in Alexandria, the powder XRD pattern of Pm2Al4InPd3 was simulated for a wavelength of 1.5418 Å.
Kinematic intensities with the Lorentz-polarization factor, no thermal factor.

Principal peaks in the range 5° ≤ 2θ ≤ 70°, sorted by position:
2θ (°)  Rel. int.
24.82  16
29.23  17
30.41  37
32.44  71
33.74  100
41.81  57
47.17  26
53.89  33
60.62  19
64.84  20

Structural model:
```
data_Pm2Al4InPd3
_chemical_formula_sum 'Pm2 Al4 In1 Pd3'
_space_group_name_H-M_alt 'P -4 m 2'
_space_group_IT_number 115
_cell_length_a 4.3208
_cell_length_b 4.3208
_cell_length_c 10.7624
_cell_angle_alpha 90.00
_cell_angle_beta 90.00
_cell_angle_gamma 90.00
loop_
_space_group_symop_operation_xyz
'x,y,z'
'y,-x,-z'
'-x,-y,z'
'-y,x,-z'
'-x,y,z'
'-y,-x,-z'
'x,-y,z'
'y,x,-z'
loop_
_atom_site_label
_atom_site_type_symbol
_atom_site_fract_x
_atom_site_fract_y
_atom_site_fract_z
_atom_site_occupancy
Pm1 Pm 0.0000 0.5000 0.2414 1
Al1 Al 0.0000 0.0000 0.0000 1
Al2 Al 0.0000 0.5000 0.6495 1
Al3 Al 0.5000 0.5000 0.0000 1
In1 In 0.0000 0.0000 0.5000 1
Pd1 Pd 0.0000 0.5000 0.8766 1
Pd2 Pd 0.5000 0.5000 0.5000 1
```